1.
# Ac2AlZn12Cu3
Theoretical X-ray diffraction stick pattern, CuKα. Input: a cell relaxed with PBE.
Lines closer than 0.1° are merged.

Top 10 peaks for 10 to 90 degrees two-theta, by intensity:
2θ (°), Rel. int., (hkl)
25.65, 100, 0 1 5
25.03, 93, 0 2 1
30.62, 86, 0 2 4
43.33, 70, 2 2 0
44.36, 53, 2 0 8
33.08, 38, 2 1 1
50.69, 38, 4 0 1
34.65, 34, 1 1 6
46.19, 33, 2 1 7
26.23, 30, 2 0 2

Structure:
Cell: 8.3526 8.3526 19.7916 Å, 90.00 90.00 120.00°
Space group R-3m (No. 166, hexagonal axes)
Asymmetric unit:
Ac  0.0000  0.0000  0.1002 x6
Al  0.0000  0.0000  0.5000 x3
Zn  0.0093  0.5046  0.1268 x18
Zn  0.1090  0.5545  0.3906 x18
Cu  0.0000  0.5000  0.0000 x9

2.
# Pu5Sn
Theoretical X-ray diffraction stick pattern, CuKα. Input: a cell relaxed with PBE.
Lines closer than 0.1° are merged.

Top 10 peaks for 10 to 90 degrees two-theta, by intensity:
2θ (°), Rel. int., (hkl)
34.84, 100, 0 0 2
36.48, 83, 1 3 1
37.56, 82, 2 0 0
52.16, 66, 2 0 2
20.42, 63, 1 1 0
17.09, 51, 0 2 0
31.91, 42, 1 3 0
38.86, 33, 0 4 1
60.46, 31, 1 5 2
47.75, 31, 1 5 0

Structure:
Cell: 4.790 10.379 5.150 Å, 90.00 90.00 90.00°
Space group Cmmm (No. 65)
Asymmetric unit:
Pu  0.000  0.000  0.000 x2
Pu  0.000  0.180  0.500 x4
Pu  0.000  0.228  0.000 x4
Sn  0.000  0.500  0.500 x2

3.
# Pr3Sb2I
Theoretical X-ray diffraction stick pattern, CuKα. Input: a cell relaxed with PBE.
Lines closer than 0.1° are merged.

Top 10 peaks for 10 to 90 degrees two-theta, by intensity:
2θ (°), Rel. int., (hkl)
30.04, 100, 1 3 2
32.34, 48, 2 0 0
31.58, 47, 0 0 4
40.39, 42, 1 5 2
26.69, 41, 1 3 1
45.83, 33, 2 0 4
13.09, 17, 0 2 0
56.26, 17, 3 3 2
47.84, 17, 1 3 5
55.29, 15, 1 3 6

Structure:
Cell: 5.536 13.522 11.332 Å, 90.00 90.00 90.00°
Space group Cmcm (No. 63)
Asymmetric unit:
Pr  0.000  0.098  0.250 x4
Pr  0.000  0.374  0.019 x8
Sb  0.000  0.000  0.000 x4
Sb  0.000  0.496  0.250 x4
I  0.000  0.232  0.750 x4